Structure and calculated powder diffractogram of Sm3IrO7 (a DFT-relaxed cell (GGA-PBE, the Materials Project); λ = 1.5418 Å (Cu Kα)).

Main lines, in order of rising 2θ (10° ≤ 2θ ≤ 80°):
2θ = 26.63°, 3.347 Å, I 9.2; 2θ = 28.91°, 3.088 Å, I 100.0; 2θ = 29.06°, 3.073 Å, I 89.5; 2θ = 33.18°, 2.700 Å, I 22.8; 2θ = 33.80°, 2.652 Å, I 45.7; 2θ = 48.09°, 1.892 Å, I 47.4; 2θ = 48.36°, 1.882 Å, I 17.1; 2θ = 56.72°, 1.623 Å, I 19.3; 2θ = 57.42°, 1.605 Å, I 26.5; 2θ = 57.66°, 1.599 Å, I 19.0; 2θ = 59.91°, 1.544 Å, I 9.9; 2θ = 77.73°, 1.229 Å, I 9.7

Cell and atoms:
```
22
Lattice="5.400 -3.737 0.000 5.400 3.737 0.000 0.000 0.000 7.528" Properties=species:S:1:pos:R:3 pbc="T T T"
Sm 0.000 0.000 0.000
Sm 0.000 0.000 3.764
Sm 2.987 1.508 5.646
Sm 2.987 -1.508 1.882
Sm 7.813 1.508 5.646
Sm 7.813 -1.508 1.882
Ir 5.400 0.000 0.000
Ir 5.400 0.000 3.764
O 1.432 0.168 1.882
O 1.432 -0.168 5.646
O 4.027 1.409 0.284
O 4.027 1.409 3.480
O 5.400 0.687 5.646
O 6.774 1.409 0.284
O 6.774 1.409 3.480
O 4.027 -1.409 4.048
O 4.027 -1.409 7.244
O 5.400 -0.687 1.882
O 6.774 -1.409 4.048
O 6.774 -1.409 7.244
O 9.369 0.168 1.882
O 9.369 -0.168 5.646
```